Entry 1:
Theoretical X-ray diffraction stick pattern
Compound: BaCu8As4
Radiation: Cu Ka
Structure: a crystal structure in the Materials Project, relaxed with GGA-PBE
Lines closer than 0.1° are merged.

Structural model:
```
BaCu8As4
1.0
-5.260 5.260 1.979
5.260 -5.260 1.979
5.260 5.260 -1.979
Ba Cu As
1 8 4
direct
0.000 0.000 0.000
0.018 0.374 0.392
0.214 0.672 0.886
0.328 0.214 0.543
0.374 0.982 0.356
0.626 0.018 0.644
0.672 0.786 0.457
0.786 0.328 0.114
0.982 0.626 0.608
0.243 0.429 0.672
0.429 0.757 0.186
0.571 0.243 0.814
0.757 0.571 0.328
```

Most intense lines, 5 to 70 degrees two-theta, by angle:
two_theta  intensity
26.80  45
29.50  53
34.15  62
42.14  100
49.03  62
50.60  49

=====

Entry 2:
Theoretical X-ray diffraction stick pattern
Compound: BaCu2As2
Radiation: Cu Ka
Structure: a crystal structure in the Materials Project, relaxed with GGA-PBE
Lines closer than 0.1° are merged.

Structural model:
```
BaCu2As2
1.0
4.294 0.000 0.000
0.000 4.294 0.000
0.000 0.000 11.376
Ba Cu As
2 4 4
direct
0.000 0.000 0.000
0.500 0.500 0.500
0.000 0.500 0.250
0.000 0.500 0.750
0.500 0.000 0.250
0.500 0.000 0.750
0.000 0.000 0.361
0.000 0.000 0.639
0.500 0.500 0.139
0.500 0.500 0.861
```

Most intense lines, 5 to 70 degrees two-theta, by angle:
two_theta  intensity
31.47  100
33.46  68
42.09  54
53.49  46
57.29  28
61.04  17